Computed powder diffractogram of Sn3GeIr for Cu Kα (λ = 1.5418 Å), from DFT lattice parameters and positions (GGA-PBE).
Lines closer than 0.1° are merged.

Largest 10 diffraction maxima, by angle, 10° ≤ 2θ ≤ 90°:
| two_theta | I_rel | hkl |
| --- | --- | --- |
| 20.64 | 501 | 0 2 0 |
| 21.31 | 763 | 2 0 0 |
| 34.23 | 1000 | 1 3 -1 |
| 34.81 | 833 | 2 2 -2 |
| 35.13 | 605 | 0 0 2 |
| 35.27 | 975 | 4 0 -1 |
| 40.68 | 825 | 3 3 -1 |
| 41.07 | 685 | 2 2 1 |
| 43.45 | 686 | 4 0 0 |
| 43.63 | 589 | 4 0 -3 |

Atomic structure:
Lattice parameters (Å, degrees): 10.5077 8.6046 6.4362 90.00 127.48 90.00
Space group C2/m (No. 12)
Symmetry-distinct sites (fractional):
Sn (0.0538, 0.0000, 0.3191) x4
Sn (0.2208, 0.3065, 0.7424) x8
Ge (0.0565, 0.5000, 0.2604) x4
Ir (0.2359, 0.5000, 0.1134) x4

Computed powder diffractogram of Sr8GeIr2 for Cu Kα (λ = 1.5418 Å), from DFT lattice parameters and positions (GGA-PBE).
Lines closer than 0.1° are merged.

Largest 10 diffraction maxima, by angle, 10° ≤ 2θ ≤ 90°:
| two_theta | I_rel | hkl |
| --- | --- | --- |
| 10.35 | 725 | 0 0 1 |
| 10.90 | 1000 | 0 1 0 |
| 13.90 | 526 | 1 0 0 |
| 16.39 | 759 | 0 1 -1 |
| 18.20 | 738 | 1 1 1 |
| 27.76 | 544 | 1 -2 0 |
| 29.65 | 504 | 2 1 1 |
| 33.12 | 746 | 0 2 -2 |
| 36.91 | 732 | 2 1 -2 |
| 41.67 | 564 | 0 1 4 |

Atomic structure:
Lattice parameters (Å, degrees): 6.4463 8.3628 8.7059 79.06 87.88 81.19
Space group P-1 (No. 2)
Symmetry-distinct sites (fractional):
Sr (0.1767, 0.3412, 0.4104) x2
Sr (0.2450, 0.3577, 0.9133) x2
Sr (0.2601, 0.8485, 0.7712) x2
Sr (0.3047, 0.8045, 0.3127) x2
Ge (0.5000, 0.0000, 0.0000) x1
Ir (0.3639, 0.5453, 0.6037) x2

Computed powder diffractogram of Sr3Ge2Ir for Cu Kα (λ = 1.5418 Å), from DFT lattice parameters and positions (GGA-PBE).
Lines closer than 0.1° are merged.

Largest 10 diffraction maxima, by angle, 10° ≤ 2θ ≤ 90°:
| two_theta | I_rel | hkl |
| --- | --- | --- |
| 11.51 | 883 | 1 0 0 |
| 13.02 | 1000 | 0 1 1 |
| 16.17 | 257 | 1 1 -1 |
| 25.69 | 293 | 1 1 2 |
| 29.51 | 354 | 1 3 0 |
| 30.13 | 701 | 1 1 -3 |
| 31.74 | 503 | 1 3 1 |
| 32.80 | 269 | 2 0 2 |
| 33.94 | 326 | 0 2 3 |
| 39.14 | 447 | 3 2 -1 |

Atomic structure:
Lattice parameters (Å, degrees): 7.8329 9.8758 9.5531 90.00 100.94 90.00
Space group P2_1/c (No. 14)
Symmetry-distinct sites (fractional):
Sr (0.1715, 0.1715, 0.3445) x4
Sr (0.2782, 0.5162, 0.2051) x4
Sr (0.2874, 0.6173, 0.6017) x4
Ge (0.1073, 0.6479, 0.8849) x4
Ge (0.4191, 0.1934, 0.1019) x4
Ir (0.4260, 0.6069, 0.9410) x4

Computed powder diffractogram of Sr3Ge5Ir6 for Cu Kα (λ = 1.5418 Å), from DFT lattice parameters and positions (GGA-PBE).
Lines closer than 0.1° are merged.

Largest 10 diffraction maxima, by angle, 10° ≤ 2θ ≤ 90°:
| two_theta | I_rel | hkl |
| --- | --- | --- |
| 17.07 | 616 | 0 0 2 |
| 30.98 | 180 | 1 2 2 |
| 33.28 | 215 | 0 3 3 |
| 33.79 | 287 | 1 0 3 |
| 34.79 | 1000 | 1 3 2 |
| 42.22 | 264 | 0 6 0 |
| 42.35 | 201 | 1 5 1 |
| 43.88 | 416 | 2 0 0 |
| 46.44 | 418 | 1 3 4 |
| 62.04 | 215 | 1 3 6 |

Atomic structure:
Lattice parameters (Å, degrees): 4.1269 12.8424 10.3879 90.00 90.00 90.00
Space group Pmmn (No. 59, origin choice 2)
Symmetry-distinct sites (fractional):
Sr (0.2500, 0.0992, 0.2485) x4
Sr (0.2500, 0.7500, 0.2398) x2
Ge (0.2500, 0.0737, 0.6490) x4
Ge (0.2500, 0.6220, 0.9885) x4
Ge (0.2500, 0.7500, 0.5964) x2
Ir (0.2500, 0.0553, 0.8935) x4
Ir (0.2500, 0.2500, 0.0005) x2
Ir (0.2500, 0.2500, 0.5291) x2
Ir (0.2500, 0.5788, 0.4865) x4

Computed powder diffractogram of Sr3Ge2Ir2 for Cu Kα (λ = 1.5418 Å), from DFT lattice parameters and positions (GGA-PBE).
Lines closer than 0.1° are merged.

Largest 10 diffraction maxima, by angle, 10° ≤ 2θ ≤ 90°:
| two_theta | I_rel | hkl |
| --- | --- | --- |
| 14.48 | 381 | 1 0 0 |
| 19.24 | 302 | 1 1 1 |
| 21.82 | 222 | 0 2 0 |
| 31.92 | 216 | 2 1 1 |
| 33.94 | 286 | 0 2 4 |
| 36.19 | 277 | 1 3 0 |
| 36.93 | 1000 | 2 1 3 |
| 37.08 | 241 | 1 2 4 |
| 38.95 | 242 | 0 0 6 |
| 45.09 | 196 | 0 2 6 |

Atomic structure:
Lattice parameters (Å, degrees): 6.1158 8.1466 13.8752 90.00 90.00 90.00
Space group Pbcm (No. 57)
Symmetry-distinct sites (fractional):
Sr (0.1357, 0.2284, 0.2500) x4
Sr (0.3634, 0.6099, 0.5995) x8
Ge (0.0894, 0.2500, 0.0000) x4
Ge (0.3289, 0.5780, 0.2500) x4
Ir (0.1322, 0.5245, 0.0904) x8

Computed powder diffractogram of Sr3Ge4Ir2 for Cu Kα (λ = 1.5418 Å), from DFT lattice parameters and positions (GGA-PBE).
Lines closer than 0.1° are merged.

Largest 10 diffraction maxima, by angle, 10° ≤ 2θ ≤ 90°:
| two_theta | I_rel | hkl |
| --- | --- | --- |
| 10.85 | 877 | 0 0 1 |
| 15.71 | 840 | 2 0 0 |
| 16.29 | 539 | 2 0 -1 |
| 30.72 | 784 | 3 1 -1 |
| 31.25 | 728 | 3 1 0 |
| 32.94 | 999 | 0 0 3 |
| 35.47 | 536 | 3 1 1 |
| 36.64 | 521 | 4 0 1 |
| 40.36 | 827 | 3 1 -3 |
| 40.88 | 1000 | 0 2 0 |

Atomic structure:
Lattice parameters (Å, degrees): 11.7939 4.4146 8.5250 90.00 106.98 90.00
Space group C2/m (No. 12)
Symmetry-distinct sites (fractional):
Sr (0.0000, 0.0000, 0.0000) x2
Sr (0.1062, 0.5000, 0.6915) x4
Ge (0.1163, 0.0000, 0.3993) x4
Ge (0.2237, 0.5000, 0.0814) x4
Ir (0.2000, 0.5000, 0.3612) x4

Computed powder diffractogram of SrGe7Ir3 for Cu Kα (λ = 1.5418 Å), from DFT lattice parameters and positions (GGA-PBE).
Lines closer than 0.1° are merged.

Largest 10 diffraction maxima, by angle, 10° ≤ 2θ ≤ 90°:
| two_theta | I_rel | hkl |
| --- | --- | --- |
| 25.61 | 1000 | 1 1 3 |
| 33.91 | 267 | 1 1 6 |
| 34.51 | 380 | 2 1 1 |
| 38.36 | 284 | 2 1 4 |
| 39.00 | 457 | 3 0 0 |
| 44.76 | 776 | 1 1 9 |
| 47.05 | 464 | 0 3 6 |
| 47.24 | 553 | 2 2 3 |
| 62.86 | 259 | 4 1 3 |
| 66.80 | 291 | 3 0 12 |

Atomic structure:
Lattice parameters (Å, degrees): 8.0008 8.0008 21.1336 90.00 90.00 120.00
Space group R-3c (No. 167, hexagonal axes)
Symmetry-distinct sites (fractional):
Sr (0.0000, 0.0000, 0.0000) x6
Ge (0.0000, 0.0000, 0.2500) x6
Ge (0.0139, 0.2087, 0.1364) x36
Ir (0.0000, 0.3166, 0.2500) x18

Computed powder diffractogram of Tb2Ge4Ir3 for Cu Kα (λ = 1.5418 Å), from DFT lattice parameters and positions (GGA-PBE).
Lines closer than 0.1° are merged.

Largest 10 diffraction maxima, by angle, 10° ≤ 2θ ≤ 90°:
| two_theta | I_rel | hkl |
| --- | --- | --- |
| 26.70 | 341 | 0 2 2 |
| 33.48 | 207 | 2 2 0 |
| 33.84 | 178 | 1 3 2 |
| 35.64 | 357 | 2 2 1 |
| 35.93 | 715 | 1 5 1 |
| 38.09 | 593 | 0 2 3 |
| 39.65 | 1000 | 2 0 2 |
| 43.66 | 205 | 0 6 2 |
| 55.00 | 200 | 0 4 4 |
| 61.84 | 189 | 2 6 3 |

Atomic structure:
Lattice parameters (Å, degrees): 5.7329 14.9601 7.4610 90.00 90.00 90.00
Space group Cmce (No. 64)
Symmetry-distinct sites (fractional):
Tb (0.0000, 0.1105, 0.0899) x8
Ge (0.0000, 0.1815, 0.4712) x8
Ge (0.2500, 0.0583, 0.7500) x8
Ir (0.0000, 0.0000, 0.5000) x4
Ir (0.2500, 0.2262, 0.7500) x8

Computed powder diffractogram of Tb3Ge2Ir2 for Cu Kα (λ = 1.5418 Å), from DFT lattice parameters and positions (GGA-PBE).
Lines closer than 0.1° are merged.

Largest 10 diffraction maxima, by angle, 10° ≤ 2θ ≤ 90°:
| two_theta | I_rel | hkl |
| --- | --- | --- |
| 33.20 | 382 | 1 1 4 |
| 33.81 | 261 | 2 1 0 |
| 34.35 | 475 | 1 2 3 |
| 34.49 | 304 | 2 1 1 |
| 35.26 | 421 | 0 2 4 |
| 37.88 | 563 | 1 3 0 |
| 38.83 | 204 | 1 2 4 |
| 39.56 | 1000 | 2 1 3 |
| 40.50 | 337 | 0 0 6 |
| 43.16 | 219 | 1 3 3 |

Atomic structure:
Lattice parameters (Å, degrees): 5.6330 7.8582 13.3639 90.00 90.00 90.00
Space group Pbcm (No. 57)
Symmetry-distinct sites (fractional):
Tb (0.1245, 0.2429, 0.2500) x4
Tb (0.3560, 0.6063, 0.1005) x8
Ge (0.1479, 0.2500, 0.0000) x4
Ge (0.3735, 0.6079, 0.7500) x4
Ir (0.1334, 0.5406, 0.5923) x8

Computed powder diffractogram of TbGe7Ir3 for Cu Kα (λ = 1.5418 Å), from DFT lattice parameters and positions (GGA-PBE).
Lines closer than 0.1° are merged.

Largest 10 diffraction maxima, by angle, 10° ≤ 2θ ≤ 90°:
| two_theta | I_rel | hkl |
| --- | --- | --- |
| 25.83 | 1000 | 1 1 3 |
| 34.21 | 417 | 1 1 6 |
| 34.82 | 353 | 2 1 1 |
| 36.71 | 316 | 0 1 8 |
| 38.71 | 419 | 2 1 4 |
| 39.35 | 576 | 3 0 0 |
| 45.15 | 763 | 1 1 9 |
| 47.48 | 362 | 0 3 6 |
| 47.68 | 560 | 2 2 3 |
| 67.44 | 348 | 3 0 12 |

Atomic structure:
Lattice parameters (Å, degrees): 7.9310 7.9310 20.9618 90.00 90.00 120.00
Space group R-3c (No. 167, hexagonal axes)
Symmetry-distinct sites (fractional):
Tb (0.0000, 0.0000, 0.0000) x6
Ge (0.0000, 0.0000, 0.2500) x6
Ge (0.0131, 0.2090, 0.1362) x36
Ir (0.0000, 0.3189, 0.2500) x18

Computed powder diffractogram of TbGe2Ir3 for Cu Kα (λ = 1.5418 Å), from DFT lattice parameters and positions (GGA-PBE).
Lines closer than 0.1° are merged.

Largest 10 diffraction maxima, by angle, 10° ≤ 2θ ≤ 90°:
| two_theta | I_rel | hkl |
| --- | --- | --- |
| 16.88 | 127 | 2 0 1 |
| 31.20 | 264 | 3 1 1 |
| 34.49 | 111 | 6 0 0 |
| 35.24 | 1000 | 1 1 -3 |
| 36.67 | 278 | 5 1 -2 |
| 39.90 | 215 | 5 1 1 |
| 43.21 | 203 | 6 0 -4 |
| 43.58 | 121 | 2 0 4 |
| 44.68 | 587 | 0 2 0 |
| 76.14 | 116 | 1 3 -3 |

Atomic structure:
Lattice parameters (Å, degrees): 16.4098 4.0589 9.8728 90.00 108.05 90.00
Space group C2/m (No. 12)
Symmetry-distinct sites (fractional):
Tb (0.0000, 0.0000, 0.0000) x2
Tb (0.1611, 0.0000, 0.7036) x4
Ge (0.0382, 0.5000, 0.7816) x4
Ge (0.1379, 0.5000, 0.4554) x4
Ge (0.1947, 0.0000, 0.1281) x4
Ir (0.0000, 0.5000, 0.5000) x2
Ir (0.0407, 0.0000, 0.3297) x4
Ir (0.1207, 0.5000, 0.1981) x4
Ir (0.1790, 0.5000, 0.9585) x4
Ir (0.2171, 0.0000, 0.3918) x4

> What is the formula in the eleventh record?

TbGe2Ir3